Computed XRD peak list of Mg3ScTl for Cu Kα (λ = 1.5418 Å), from a PBE-relaxed structure.
Neutral-atom scattering factors, no anomalous dispersion.

Peak list (6 most intense, 2θ = 10–90°, by intensity)
2theta	Rel. int.	h k l
21.86	100	1 3 0
19.68	78	1 1 -1
34.92	77	2 4 -1
14.68	64	1 1 0
30.63	62	0 4 1
11.37	60	0 2 0

Structure:
```
data_Mg3ScTl
_chemical_formula_sum 'Mg12 Sc4 Tl4'
_space_group_name_H-M_alt 'C 1 2/c 1'
_space_group_IT_number 15
_cell_length_a 7.243
_cell_length_b 15.561
_cell_length_c 4.885
_cell_angle_alpha 90.00
_cell_angle_beta 115.35
_cell_angle_gamma 90.00
loop_
_space_group_symop_operation_xyz
'x,y,z'
'-x,-y,-z'
'-x,y,-z+1/2'
'x,-y,z+1/2'
'x+1/2,y+1/2,z'
'-x+1/2,-y+1/2,-z'
'-x+1/2,y+1/2,-z+1/2'
'x+1/2,-y+1/2,z+1/2'
loop_
_atom_site_label
_atom_site_type_symbol
_atom_site_fract_x
_atom_site_fract_y
_atom_site_fract_z
Mg1 Mg 0.139 0.075 0.080
Mg2 Mg 0.250 0.250 0.500
Sc1 Sc 0.000 0.430 0.250
Tl1 Tl 0.000 0.317 0.750
```

***

Computed XRD peak list of Mg14ScTl for Cu Kα (λ = 1.5418 Å), from a PBE-relaxed structure.
Neutral-atom scattering factors, no anomalous dispersion.

Peak list (6 most intense, 2θ = 10–90°, by intensity)
2theta	Rel. int.	h k l
34.27	100	2 0 2
10.22	40	0 0 1
38.77	35	2 2 0
16.94	34	1 0 1
21.71	32	1 1 1
13.48	27	1 0 0

Structure:
```
data_Mg14ScTl
_chemical_formula_sum 'Mg14 Sc1 Tl1'
_space_group_name_H-M_alt 'P 4/m m m'
_space_group_IT_number 123
_space_group_name_Hall '-P 4 2'
_cell_length_a 6.570
_cell_length_b 6.570
_cell_length_c 8.658
_cell_angle_alpha 90.00
_cell_angle_beta 90.00
_cell_angle_gamma 90.00
loop_
_atom_site_label
_atom_site_type_symbol
_atom_site_fract_x
_atom_site_fract_y
_atom_site_fract_z
Mg1 Mg 0.000 0.000 0.000
Mg2 Mg 0.000 0.500 0.000
Mg3 Mg 0.000 0.500 0.500
Mg4 Mg 0.247 0.247 0.247
Mg5 Mg 0.500 0.500 0.000
Sc1 Sc 0.000 0.000 0.500
Tl1 Tl 0.500 0.500 0.500
```

***

Computed XRD peak list of Mg2Sc3Tl6 for Cu Kα (λ = 1.5418 Å), from a PBE-relaxed structure.
Neutral-atom scattering factors, no anomalous dispersion.

Peak list (6 most intense, 2θ = 10–90°, by intensity)
2theta	Rel. int.	h k l
28.41	100	1 1 2
37.64	87	1 1 8
18.66	75	0 0 6
39.58	50	2 0 0
44.09	35	2 0 6
70.52	28	3 1 8

Structure:
```
data_Mg2Sc3Tl6
_chemical_formula_sum 'Mg4 Sc6 Tl12'
_space_group_name_H-M_alt 'I 4/m m m'
_space_group_IT_number 139
_space_group_name_Hall '-I 4 2'
_cell_length_a 4.554
_cell_length_b 4.554
_cell_length_c 28.525
_cell_angle_alpha 90.00
_cell_angle_beta 90.00
_cell_angle_gamma 90.00
loop_
_atom_site_label
_atom_site_type_symbol
_atom_site_fract_x
_atom_site_fract_y
_atom_site_fract_z
Mg1 Mg 0.000 0.000 0.142
Sc1 Sc 0.000 0.000 0.349
Sc2 Sc 0.000 0.000 0.500
Tl1 Tl 0.000 0.000 0.242
Tl2 Tl 0.000 0.500 0.071
```

***

Computed XRD peak list of Mg2Sc6Tl for Cu Kα (λ = 1.5418 Å), from a PBE-relaxed structure.
Neutral-atom scattering factors, no anomalous dispersion.

Peak list (6 most intense, 2θ = 10–90°, by intensity)
2theta	Rel. int.	h k l
34.03	100	3 0 1
12.95	38	1 1 0
21.48	33	1 0 1
39.56	32	3 3 0
18.36	29	2 0 0
28.40	23	2 1 1

Structure:
```
data_Mg2Sc6Tl
_chemical_formula_sum 'Mg4 Sc12 Tl2'
_space_group_name_H-M_alt 'P 42/m n m'
_space_group_IT_number 136
_space_group_name_Hall '-P 4n 2n'
_cell_length_a 9.665
_cell_length_b 9.665
_cell_length_c 4.576
_cell_angle_alpha 90.00
_cell_angle_beta 90.00
_cell_angle_gamma 90.00
loop_
_atom_site_label
_atom_site_type_symbol
_atom_site_fract_x
_atom_site_fract_y
_atom_site_fract_z
Mg1 Mg 0.175 0.175 0.000
Sc1 Sc 0.000 0.335 0.500
Sc2 Sc 0.152 0.848 0.000
Tl1 Tl 0.000 0.000 0.500
```

***

Computed XRD peak list of MgSc3Tl2 for Cu Kα (λ = 1.5418 Å), from a PBE-relaxed structure.
Neutral-atom scattering factors, no anomalous dispersion.

Peak list (6 most intense, 2θ = 10–90°, by intensity)
2theta	Rel. int.	h k l
35.49	100	1 0 3
35.25	52	1 1 0
63.42	36	2 1 3
24.73	34	1 0 0
29.95	24	1 0 2
16.63	21	0 0 2

Structure:
```
data_MgSc3Tl2
_chemical_formula_sum 'Mg1 Sc3 Tl2'
_space_group_name_H-M_alt 'P 4/m m m'
_space_group_IT_number 123
_space_group_name_Hall '-P 4 2'
_cell_length_a 3.600
_cell_length_b 3.600
_cell_length_c 10.662
_cell_angle_alpha 90.00
_cell_angle_beta 90.00
_cell_angle_gamma 90.00
loop_
_atom_site_label
_atom_site_type_symbol
_atom_site_fract_x
_atom_site_fract_y
_atom_site_fract_z
Mg1 Mg 0.000 0.000 0.000
Sc1 Sc 0.500 0.500 0.161
Sc2 Sc 0.500 0.500 0.500
Tl1 Tl 0.000 0.000 0.324
```

***

Computed XRD peak list of Tm2Mg2Sc7 for Cu Kα (λ = 1.5418 Å), from a PBE-relaxed structure.
Neutral-atom scattering factors, no anomalous dispersion.

Peak list (6 most intense, 2θ = 10–90°, by intensity)
2theta	Rel. int.	h k l
33.80	100	2 2 1
34.18	62	0 4 0
16.88	53	0 2 0
36.69	47	3 3 -1
26.41	42	2 2 -1
34.43	38	2 0 -2

Structure:
```
data_Tm2Mg2Sc7
_chemical_formula_sum 'Tm4 Mg4 Sc14'
_space_group_name_H-M_alt 'C 1 2/m 1'
_space_group_IT_number 12
_cell_length_a 10.971
_cell_length_b 10.504
_cell_length_c 5.262
_cell_angle_alpha 90.00
_cell_angle_beta 110.21
_cell_angle_gamma 90.00
loop_
_space_group_symop_operation_xyz
'x,y,z'
'-x,-y,-z'
'-x,y,-z'
'x,-y,z'
'x+1/2,y+1/2,z'
'-x+1/2,-y+1/2,-z'
'-x+1/2,y+1/2,-z'
'x+1/2,-y+1/2,z'
loop_
_atom_site_label
_atom_site_type_symbol
_atom_site_fract_x
_atom_site_fract_y
_atom_site_fract_z
Tm1 Tm 0.000 0.215 0.000
Mg1 Mg 0.078 0.500 0.291
Sc1 Sc 0.000 0.000 0.500
Sc2 Sc 0.186 0.212 0.676
Sc3 Sc 0.226 0.000 0.142
```

***

Computed XRD peak list of Tm2MgSc4 for Cu Kα (λ = 1.5418 Å), from a PBE-relaxed structure.
Neutral-atom scattering factors, no anomalous dispersion.

Peak list (6 most intense, 2θ = 10–90°, by intensity)
2theta	Rel. int.	h k l
32.91	100	1 7 0
34.62	58	0 8 1
30.13	46	1 5 0
57.06	40	1 15 1
27.04	36	0 0 1
39.41	35	1 3 1

Structure:
```
data_Tm2MgSc4
_chemical_formula_sum 'Tm4 Mg2 Sc8'
_space_group_name_H-M_alt 'C m m m'
_space_group_IT_number 65
_space_group_name_Hall '-C 2 2'
_cell_length_a 3.308
_cell_length_b 33.497
_cell_length_c 3.298
_cell_angle_alpha 90.00
_cell_angle_beta 90.00
_cell_angle_gamma 90.00
loop_
_atom_site_label
_atom_site_type_symbol
_atom_site_fract_x
_atom_site_fract_y
_atom_site_fract_z
Tm1 Tm 0.000 0.205 0.000
Mg1 Mg 0.000 0.500 0.500
Sc1 Sc 0.000 0.066 0.000
Sc2 Sc 0.000 0.366 0.500
```

***

Computed XRD peak list of Tm4Mg7Sc for Cu Kα (λ = 1.5418 Å), from a PBE-relaxed structure.
Neutral-atom scattering factors, no anomalous dispersion.

Peak list (6 most intense, 2θ = 10–90°, by intensity)
2theta	Rel. int.	h k l
33.91	100	1 0 4
34.48	92	1 1 0
20.86	85	0 1 1
28.52	46	0 1 3
61.41	36	2 1 4
49.14	35	0 2 4

Structure:
```
data_Tm4Mg7Sc
_chemical_formula_sum 'Tm4 Mg7 Sc1'
_space_group_name_H-M_alt 'P -3 m 1'
_space_group_IT_number 164
_space_group_name_Hall '-P 3 2"'
_cell_length_a 5.2019
_cell_length_b 5.2019
_cell_length_c 13.0572
_cell_angle_alpha 90.00
_cell_angle_beta 90.00
_cell_angle_gamma 120.00
loop_
_atom_site_label
_atom_site_type_symbol
_atom_site_fract_x
_atom_site_fract_y
_atom_site_fract_z
Tm1 Tm 0.3333 0.6667 0.1580
Tm2 Tm 0.3333 0.6667 0.4200
Mg1 Mg 0.0000 0.0000 0.2563
Mg2 Mg 0.0000 0.0000 0.5000
Mg3 Mg 0.3333 0.6667 0.6823
Mg4 Mg 0.3333 0.6667 0.9197
Sc1 Sc 0.0000 0.0000 0.0000
```

***

Computed XRD peak list of TmMgSc2 for Cu Kα (λ = 1.5418 Å), from a PBE-relaxed structure.
Neutral-atom scattering factors, no anomalous dispersion.

Peak list (6 most intense, 2θ = 10–90°, by intensity)
2theta	Rel. int.	h k l
34.23	100	0 1 5
36.85	83	1 0 7
31.79	74	0 1 2
32.78	45	0 0 12
66.17	33	1 1 12
41.94	33	1 0 10

Structure:
```
data_TmMgSc2
_chemical_formula_sum 'Tm3 Mg3 Sc6'
_space_group_name_H-M_alt 'R 3 m'
_space_group_IT_number 160
_space_group_name_Hall 'R 3 -2"'
_cell_length_a 3.2994
_cell_length_b 3.2994
_cell_length_c 32.7890
_cell_angle_alpha 90.00
_cell_angle_beta 90.00
_cell_angle_gamma 120.00
loop_
_atom_site_label
_atom_site_type_symbol
_atom_site_fract_x
_atom_site_fract_y
_atom_site_fract_z
Tm1 Tm 0.0000 0.0000 0.0000
Mg1 Mg 0.0000 0.0000 0.8336
Sc1 Sc 0.0000 0.0000 0.4173
Sc2 Sc 0.0000 0.0000 0.5829
```

***

Computed XRD peak list of TmMg2Sc6 for Cu Kα (λ = 1.5418 Å), from a PBE-relaxed structure.
Neutral-atom scattering factors, no anomalous dispersion.

Peak list (6 most intense, 2θ = 10–90°, by intensity)
2theta	Rel. int.	h k l
34.11	100	0 2 1
18.73	42	0 1 2
31.89	41	2 -1 3
17.26	37	1 0 1
38.94	37	1 1 6
37.95	36	0 1 8

Structure:
```
data_TmMg2Sc6
_chemical_formula_sum 'Tm3 Mg6 Sc18'
_space_group_name_H-M_alt 'R 3'
_space_group_IT_number 146
_space_group_name_Hall 'R 3'
_cell_length_a 6.1143
_cell_length_b 6.1143
_cell_length_c 21.2276
_cell_angle_alpha 90.00
_cell_angle_beta 90.00
_cell_angle_gamma 120.00
loop_
_atom_site_label
_atom_site_type_symbol
_atom_site_fract_x
_atom_site_fract_y
_atom_site_fract_z
Tm1 Tm 0.0000 0.0000 0.0000
Mg1 Mg 0.0000 0.0000 0.1423
Mg2 Mg 0.0000 0.0000 0.2804
Sc1 Sc 0.0003 0.4608 0.0665
Sc2 Sc 0.9996 0.5509 0.2116
```

***

Computed XRD peak list of TmMg6Sc for Cu Kα (λ = 1.5418 Å), from a PBE-relaxed structure.
Neutral-atom scattering factors, no anomalous dispersion.

Peak list (6 most intense, 2θ = 10–90°, by intensity)
2theta	Rel. int.	h k l
33.96	100	1 1 2
19.42	58	0 0 2
27.59	49	1 1 0
21.72	33	1 0 1
39.36	33	2 0 0
67.93	25	3 1 2

Structure:
```
data_TmMg6Sc
_chemical_formula_sum 'Tm1 Mg6 Sc1'
_space_group_name_H-M_alt 'P 4/m m m'
_space_group_IT_number 123
_space_group_name_Hall '-P 4 2'
_cell_length_a 4.579
_cell_length_b 4.579
_cell_length_c 9.116
_cell_angle_alpha 90.00
_cell_angle_beta 90.00
_cell_angle_gamma 90.00
loop_
_atom_site_label
_atom_site_type_symbol
_atom_site_fract_x
_atom_site_fract_y
_atom_site_fract_z
Tm1 Tm 0.000 0.000 0.000
Mg1 Mg 0.000 0.500 0.256
Mg2 Mg 0.500 0.500 0.000
Mg3 Mg 0.500 0.500 0.500
Sc1 Sc 0.000 0.000 0.500
```

***

Computed XRD peak list of TmMgSc2 for Cu Kα (λ = 1.5418 Å), from a PBE-relaxed structure.
Neutral-atom scattering factors, no anomalous dispersion.

Peak list (6 most intense, 2θ = 10–90°, by intensity)
2theta	Rel. int.	h k l
33.22	100	1 1 1
19.09	48	1 0 0
26.92	43	1 0 1
38.74	33	2 0 0
66.64	25	3 1 1
55.50	22	2 0 2

Structure:
```
data_TmMgSc2
_chemical_formula_sum 'Tm1 Mg1 Sc2'
_space_group_name_H-M_alt 'P 4/m m m'
_space_group_IT_number 123
_space_group_name_Hall '-P 4 2'
_cell_length_a 4.648
_cell_length_b 4.648
_cell_length_c 4.719
_cell_angle_alpha 90.00
_cell_angle_beta 90.00
_cell_angle_gamma 90.00
loop_
_atom_site_label
_atom_site_type_symbol
_atom_site_fract_x
_atom_site_fract_y
_atom_site_fract_z
Tm1 Tm 0.000 0.000 0.000
Mg1 Mg 0.500 0.500 0.000
Sc1 Sc 0.000 0.500 0.500
```